No. 1
Calculated PXRD pattern of CaSn4O9 for copper Kα, from DFT lattice parameters and positions (GGA-PBE).
Neutral-atom scattering factors, no anomalous dispersion.

Crystal structure
Unit cell a=8.273 b=8.273 c=5.192 alpha=90.00 beta=90.00 gamma=90.00
Space group P4/n (No. 85, origin choice 2)
One atom of each set of equivalent atoms:
Ca 0.250 0.250 0.237 x2
Sn 0.055 0.647 0.231 x8
O 0.007 0.792 0.552 x8
O 0.042 0.142 0.947 x8
O 0.250 0.750 0.000 x2

Largest 10 diffraction maxima, in order of rising 2θ, 10° ≤ 2θ ≤ 90°:
h k l  2θ (°)  Rel. int.
1 1 0  15.15  7
2 1 1  29.65  100
1 3 0  34.28  21
0 0 2  34.55  9
4 2 0  49.26  16
1 3 2  49.46  32
3 4 1  58.55  30
2 1 3  58.91  14
4 2 2  61.56  10
5 0 3  80.27  10

No. 2
Calculated PXRD pattern of CaZn4Sn4O8 for copper Kα, from DFT lattice parameters and positions (GGA-PBE).
Neutral-atom scattering factors, no anomalous dispersion.

Crystal structure
Unit cell a=3.374 b=9.390 c=10.750 alpha=111.51 beta=99.02 gamma=90.06
Space group P1 (No. 1)
One atom of each set of equivalent atoms:
Ca 0.000 0.000 0.000 x1
Zn 0.072 0.441 0.142 x1
Zn 0.284 0.300 0.568 x1
Zn 0.712 0.653 0.422 x1
Zn 0.912 0.493 0.821 x1
Sn 0.362 0.757 0.722 x1
Sn 0.409 0.160 0.819 x1
Sn 0.562 0.736 0.120 x1
Sn 0.637 0.205 0.274 x1
O 0.011 0.591 0.019 x1
O 0.148 0.352 0.295 x1
O 0.259 0.714 0.514 x1
O 0.385 0.364 0.768 x1
O 0.612 0.577 0.222 x1
O 0.739 0.241 0.478 x1
O 0.849 0.603 0.695 x1
O 0.989 0.239 0.978 x1

Largest 10 diffraction maxima, in order of rising 2θ, 10° ≤ 2θ ≤ 90°:
h k l  2θ (°)  Rel. int.
0 1 0  10.15  35
0 2 0  20.37  55
0 3 -2  29.32  66
1 0 1  29.77  36
0 1 3  32.49  32
0 3 -3  32.69  32
1 1 -3  33.97  100
-1 2 1  34.95  86
2 0 -1  54.38  35
1 -5 2  56.19  33

No. 3
Calculated PXRD pattern of CaZnSnO4 for copper Kα, from DFT lattice parameters and positions (GGA-PBE).
Neutral-atom scattering factors, no anomalous dispersion.

Crystal structure
Unit cell a=6.432 b=6.436 c=9.280 alpha=90.00 beta=90.00 gamma=90.00
Space group Imma (No. 74)
One atom of each set of equivalent atoms:
Ca 0.000 0.250 0.138 x4
Zn 0.250 0.250 0.750 x4
Sn 0.000 0.000 0.500 x4
O 0.000 0.030 0.723 x8
O 0.218 0.250 0.504 x8

Largest 10 diffraction maxima, in order of rising 2θ, 10° ≤ 2θ ≤ 90°:
h k l  2θ (°)  Rel. int.
1 0 1  16.77  100
1 0 3  32.11  49
1 2 1  32.58  95
0 2 2  33.91  46
0 0 4  38.82  21
2 2 0  39.62  40
3 2 1  52.20  34
2 2 4  56.67  47
0 4 0  57.27  23
2 0 6  67.17  21

No. 4
Calculated PXRD pattern of SrCa2O for copper Kα, from DFT lattice parameters and positions (GGA-PBE).
Neutral-atom scattering factors, no anomalous dispersion.

Crystal structure
Unit cell a=7.363 b=7.363 c=10.387 alpha=90.00 beta=90.00 gamma=90.00
Space group I4_1/amd (No. 141, origin choice 2)
One atom of each set of equivalent atoms:
Sr 0.000 0.250 0.375 x4
Ca 0.000 0.000 0.000 x8
O 0.000 0.250 0.875 x4

Largest 10 diffraction maxima, in order of rising 2θ, 10° ≤ 2θ ≤ 90°:
h k l  2θ (°)  Rel. int.
2 0 0  24.20  98
2 1 1  28.45  100
2 0 2  29.75  25
3 1 2  42.57  41
3 2 1  45.27  27
4 0 0  49.56  41
4 2 0  55.85  12
4 1 3  58.14  13
5 1 2  67.32  13
5 2 1  69.36  18